Structure and calculated powder diffractogram of PuTe3 (a GGA-PBE-relaxed structure; Cu Kα (weighted mean of Kα1 and Kα2)).
Neutral-atom scattering factors, no anomalous dispersion.

Principal peaks in the range 2θ = 5–70°, in order of falling intensity:
d_spacing, I/Imax
2.616, 100.0
2.884, 99.8
2.327, 63.3
3.108, 55.3
2.163, 49.1
3.053, 48.4
2.187, 39.1
12.431, 29.9
1.538, 25.9
2.534, 24.2

```
PuTe3
1.0
2.164 -12.431 0.000
2.164 12.431 0.000
0.000 0.000 4.375
Pu Te
2 6
Direct
0.168 0.832 0.750
0.832 0.168 0.250
0.072 0.928 0.250
0.298 0.702 0.750
0.427 0.573 0.250
0.573 0.427 0.750
0.702 0.298 0.250
0.928 0.072 0.750
```

***

Structure and calculated powder diffractogram of Pr2Mn3CoGe4 (a GGA-PBE-relaxed structure; Cu Kα (weighted mean of Kα1 and Kα2)).
Neutral-atom scattering factors, no anomalous dispersion.

Principal peaks in the range 2θ = 5–70°, in order of falling intensity:
d_spacing, I/Imax
2.708, 100.0
2.541, 86.0
2.031, 56.6
1.625, 42.4
1.921, 34.3
2.872, 29.0
1.396, 23.8
1.535, 18.7
1.436, 17.8
1.977, 9.3

```
Pr2Mn3CoGe4
1.0
4.062 0.000 0.000
0.000 4.062 0.000
0.000 0.000 10.900
Pr Mn Co Ge
2 3 1 4
Direct
0.000 0.500 0.248
0.500 0.000 0.752
0.000 0.000 0.000
0.000 0.000 0.500
0.500 0.500 0.500
0.500 0.500 0.000
0.000 0.500 0.625
0.000 0.500 0.878
0.500 0.000 0.122
0.500 0.000 0.375
```

***

Structure and calculated powder diffractogram of Na2MgAlF7 (a GGA-PBE-relaxed structure; Cu Kα (weighted mean of Kα1 and Kα2)).
Neutral-atom scattering factors, no anomalous dispersion.

Principal peaks in the range 2θ = 5–70°, in order of falling intensity:
d_spacing, I/Imax
1.807, 100.0
2.996, 95.8
2.923, 83.4
2.332, 50.8
1.568, 47.3
2.273, 38.4
1.537, 37.7
5.156, 32.1
2.406, 31.9
1.790, 24.9

```
Na2MgAlF7
1.0
-3.579 5.067 3.716
3.579 -5.067 3.716
3.579 5.067 -3.716
Na Mg Al F
4 2 2 14
Direct
0.000 0.000 0.000
0.500 0.000 0.000
0.500 0.000 0.500
0.500 0.500 0.500
0.000 0.000 0.500
0.000 0.500 0.000
0.000 0.500 0.500
0.500 0.500 0.000
0.044 0.247 0.428
0.044 0.616 0.798
0.112 0.862 0.250
0.308 0.721 0.587
0.318 0.247 0.702
0.318 0.616 0.072
0.365 0.279 0.087
0.635 0.721 0.913
0.682 0.384 0.928
0.682 0.753 0.298
0.692 0.279 0.413
0.888 0.138 0.750
0.956 0.384 0.202
0.956 0.753 0.572
```

***

Structure and calculated powder diffractogram of CsRb2AuF6 (a GGA-PBE-relaxed structure; Cu Kα (weighted mean of Kα1 and Kα2)).
Neutral-atom scattering factors, no anomalous dispersion.

Principal peaks in the range 2θ = 5–70°, in order of falling intensity:
d_spacing, I/Imax
3.465, 100.0
2.000, 42.0
2.450, 33.6
1.732, 21.7
1.549, 21.1
4.900, 20.4
2.191, 9.2
5.658, 7.5
1.414, 7.0
1.633, 4.5

```
CsRb2AuF6
1.0
0.000 4.900 4.900
4.900 0.000 4.900
4.900 4.900 0.000
Cs Rb Au F
1 2 1 6
Direct
0.000 0.000 0.000
0.250 0.250 0.250
0.750 0.750 0.750
0.500 0.500 0.500
0.280 0.280 0.720
0.280 0.720 0.280
0.280 0.720 0.720
0.720 0.280 0.280
0.720 0.280 0.720
0.720 0.720 0.280
```

***

Structure and calculated powder diffractogram of CaLa2Te4 (a GGA-PBE-relaxed structure; Cu Kα (weighted mean of Kα1 and Kα2)).
Neutral-atom scattering factors, no anomalous dispersion.

Principal peaks in the range 2θ = 5–70°, in order of falling intensity:
d_spacing, I/Imax
3.050, 100.0
2.581, 55.8
2.596, 49.4
3.081, 42.0
1.972, 17.8
1.567, 14.6
1.565, 11.5
1.892, 11.0
3.967, 10.8
1.526, 10.7

```
CaLa2Te4
1.0
-4.821 4.821 4.877
4.821 -4.821 4.877
4.821 4.821 -4.877
Ca La Te
2 4 8
Direct
0.000 0.000 0.000
0.750 0.250 0.500
0.248 0.625 0.123
0.375 0.498 0.623
0.502 0.125 0.877
0.875 0.752 0.377
0.124 0.227 0.747
0.126 0.729 0.753
0.271 0.023 0.397
0.479 0.376 0.253
0.624 0.876 0.103
0.626 0.874 0.603
0.773 0.521 0.897
0.977 0.374 0.247
```

***

Structure and calculated powder diffractogram of Hf3TePb4O13 (a GGA-PBE-relaxed structure; Cu Kα (weighted mean of Kα1 and Kα2)).
Neutral-atom scattering factors, no anomalous dispersion.

Principal peaks in the range 2θ = 5–70°, in order of falling intensity:
d_spacing, I/Imax
3.116, 100.0
1.627, 46.0
1.908, 43.2
2.699, 40.5
1.559, 9.6
1.349, 6.8
1.556, 2.9
2.476, 2.2
2.078, 1.1
3.254, 0.8

```
Hf3TePb4O13
1.0
3.819 2.205 6.223
-3.819 2.205 6.223
0.000 -4.410 6.223
Hf Te Pb O
3 1 4 13
Direct
0.167 0.167 0.666
0.167 0.666 0.167
0.666 0.167 0.167
0.167 0.167 0.167
0.167 0.667 0.667
0.666 0.666 0.666
0.667 0.167 0.667
0.667 0.667 0.167
0.102 0.102 0.469
0.102 0.469 0.102
0.103 0.491 0.491
0.233 0.233 0.863
0.233 0.863 0.233
0.236 0.838 0.838
0.469 0.102 0.102
0.491 0.103 0.491
0.491 0.491 0.103
0.539 0.539 0.539
0.838 0.236 0.838
0.838 0.838 0.235
0.863 0.233 0.233
```